1.
# BaNaMnS3
Simulated powder diffraction line list, a wavelength of 1.5418 Å. Input: a DFT-relaxed cell (GGA-PBE, Alexandria).
Lines closer than 0.1° are merged.

a b c (Å): 7.006 13.327 6.568
angles (deg): 90.00 90.00 90.00
Space group Cmcm (No. 63)
Inequivalent atoms, fractional coordinates:
Ba 0.000 0.203 0.250 (multiplicity 4)
Na 0.000 0.431 0.750 (multiplicity 4)
Mn 0.000 0.053 0.750 (multiplicity 4)
S 0.000 0.232 0.750 (multiplicity 4)
S 0.217 0.000 0.000 (multiplicity 8)

Peak list (10 most intense, 10° ≤ 2θ ≤ 90°, sorted by position)
| two_theta | intensity | index |
| --- | --- | --- |
| 14.28 | 95 | 1 1 0 |
| 19.69 | 41 | 1 1 1 |
| 25.43 | 52 | 2 0 0 |
| 27.16 | 41 | 0 0 2 |
| 27.38 | 76 | 1 3 1 |
| 28.79 | 46 | 2 2 0 |
| 30.08 | 37 | 0 4 1 |
| 30.35 | 43 | 0 2 2 |
| 36.05 | 36 | 1 5 0 |
| 37.54 | 100 | 2 0 2 |

***

2.
# BaMnNb2Re
Simulated powder diffraction line list, a wavelength of 1.5418 Å. Input: a DFT-relaxed cell (GGA-PBE, Alexandria).
Lines closer than 0.1° are merged.

a b c (Å): 5.017 5.017 4.720
angles (deg): 90.00 90.00 90.00
Space group P4/mmm (No. 123)
Inequivalent atoms, fractional coordinates:
Ba 0.000 0.000 0.000 (multiplicity 1)
Mn 0.500 0.500 0.000 (multiplicity 1)
Nb 0.000 0.500 0.500 (multiplicity 2)
Re 0.500 0.500 0.500 (multiplicity 1)

Peak list (10 most intense, 10° ≤ 2θ ≤ 90°, sorted by position)
| two_theta | intensity | index |
| --- | --- | --- |
| 18.80 | 28 | 0 0 1 |
| 25.10 | 25 | 1 1 0 |
| 25.92 | 97 | 1 0 1 |
| 31.55 | 35 | 1 1 1 |
| 35.80 | 100 | 2 0 0 |
| 38.13 | 42 | 0 0 2 |
| 44.72 | 46 | 2 1 1 |
| 51.53 | 35 | 2 2 0 |
| 53.30 | 63 | 2 0 2 |
| 65.87 | 33 | 2 2 2 |